# 1
Diffraction record for NdAl2Ni. The X-ray powder pattern is simulated, not measured: it uses DFT lattice parameters and positions (PBE) and λ = 1.5418 Å (Cu Kα).
Lines closer than 0.1° are merged.

Largest 10 diffraction maxima, low angle first, 10° ≤ 2θ ≤ 80°:
d/Å	I_rel	(hkl)
3.820	70	1 1 0
3.452	52	0 0 2
2.561	94	1 1 2
2.537	67	0 4 1
2.526	100	1 3 1
2.039	29	2 0 0
1.755	49	1 3 3
1.589	31	2 4 1
1.476	18	1 5 3
1.231	18	0 4 5

Cell and atoms:
```
data_NdAl2Ni
_chemical_formula_sum 'Nd4 Al8 Ni4'
_space_group_name_H-M_alt 'C m c m'
_space_group_IT_number 63
_space_group_name_Hall '-C 2c 2'
_cell_length_a 4.0775
_cell_length_b 10.9136
_cell_length_c 6.9039
_cell_angle_alpha 90.00
_cell_angle_beta 90.00
_cell_angle_gamma 90.00
loop_
_atom_site_label
_atom_site_type_symbol
_atom_site_fract_x
_atom_site_fract_y
_atom_site_fract_z
_atom_site_occupancy
Nd1 Nd 0.0000 0.0540 0.2500 1
Al1 Al 0.0000 0.3308 0.0567 1
Ni1 Ni 0.0000 0.2195 0.7500 1
```

# 2
Diffraction record for Mg9Si5. The X-ray powder pattern is simulated, not measured: it uses DFT lattice parameters and positions (PBE) and λ = 1.5418 Å (Cu Kα).
Lines closer than 0.1° are merged.

Largest 10 diffraction maxima, low angle first, 10° ≤ 2θ ≤ 80°:
d/Å	I_rel	(hkl)
2.864	49	2 1 -2
2.805	38	1 2 -2
2.650	71	1 -1 3
2.615	48	0 2 -2
2.556	40	2 0 3
2.450	69	2 2 4
2.423	62	0 2 4
2.372	69	1 3 1
2.168	38	-1 2 3
2.083	100	0 0 6

Cell and atoms:
```
data_Mg9Si5
_chemical_formula_sum 'Mg18 Si10'
_space_group_name_H-M_alt 'P 1'
_space_group_IT_number 1
_cell_length_a 7.0860
_cell_length_b 7.2153
_cell_length_c 12.8387
_cell_angle_alpha 77.11
_cell_angle_beta 81.07
_cell_angle_gamma 61.20
loop_
_space_group_symop_operation_xyz
'x,y,z'
loop_
_atom_site_label
_atom_site_type_symbol
_atom_site_fract_x
_atom_site_fract_y
_atom_site_fract_z
_atom_site_occupancy
Mg1 Mg 0.0000 0.0000 0.0000 1
Mg2 Mg 0.0003 0.7106 0.6246 1
Mg3 Mg 0.1719 0.1151 0.6362 1
Mg4 Mg 0.2166 0.1547 0.3137 1
Mg5 Mg 0.2699 0.2672 0.9923 1
Mg6 Mg 0.3712 0.7524 0.4950 1
Mg7 Mg 0.3949 0.7987 0.1516 1
Mg8 Mg 0.4270 0.9261 0.8506 1
Mg9 Mg 0.4447 0.5245 0.7879 1
Mg10 Mg 0.5853 0.0454 0.4624 1
Mg11 Mg 0.5931 0.1936 0.1543 1
Mg12 Mg 0.6064 0.1872 0.6499 1
Mg13 Mg 0.7054 0.4016 0.3173 1
Mg14 Mg 0.7582 0.4874 0.9675 1
Mg15 Mg 0.8534 0.5130 0.4954 1
Mg16 Mg 0.9703 0.6062 0.1488 1
Mg17 Mg 0.9762 0.7620 0.8534 1
Mg18 Mg 0.9923 0.8659 0.3222 1
Si1 Si 0.0960 0.3616 0.8013 1
Si2 Si 0.2725 0.4389 0.4892 1
Si3 Si 0.3059 0.4807 0.2926 1
Si4 Si 0.3308 0.6052 0.9934 1
Si5 Si 0.5778 0.7925 0.6548 1
Si6 Si 0.6345 0.8086 0.3165 1
Si7 Si 0.6628 0.9104 0.0068 1
Si8 Si 0.8523 0.1971 0.8037 1
Si9 Si 0.9447 0.0971 0.4818 1
Si10 Si 0.9825 0.2070 0.1502 1
```

# 3
Diffraction record for PuB4ClO8. The X-ray powder pattern is simulated, not measured: it uses DFT lattice parameters and positions (PBE) and λ = 1.5418 Å (Cu Kα).
Lines closer than 0.1° are merged.

Largest 10 diffraction maxima, low angle first, 10° ≤ 2θ ≤ 80°:
d/Å	I_rel	(hkl)
5.662	48	0 2 0
5.249	100	1 1 -1
4.785	30	0 2 1
4.474	42	0 0 2
4.258	49	1 1 1
3.234	34	1 3 0
2.919	44	1 1 -3
2.810	35	2 2 -1
2.130	64	2 4 -1
1.970	25	2 2 -4

Cell and atoms:
```
data_PuB4ClO8
_chemical_formula_sum 'Pu4 B16 Cl4 O32'
_space_group_name_H-M_alt 'C 1 c 1'
_space_group_IT_number 9
_cell_length_a 6.5021
_cell_length_b 11.3241
_cell_length_c 9.2792
_cell_angle_alpha 90.00
_cell_angle_beta 105.34
_cell_angle_gamma 90.00
loop_
_space_group_symop_operation_xyz
'x,y,z'
'x,-y,z+1/2'
'x+1/2,y+1/2,z'
'x+1/2,-y+1/2,z+1/2'
loop_
_atom_site_label
_atom_site_type_symbol
_atom_site_fract_x
_atom_site_fract_y
_atom_site_fract_z
_atom_site_occupancy
Pu1 Pu 0.0000 0.1948 0.0000 1
B1 B 0.1774 0.0971 0.3468 1
B2 B 0.3333 0.4463 0.8945 1
B3 B 0.4197 0.2456 0.8281 1
B4 B 0.4889 0.0356 0.9139 1
Cl1 Cl 0.3674 0.3159 0.1750 1
O1 O 0.0330 0.0135 0.3967 1
O2 O 0.1295 0.0928 0.1803 1
O3 O 0.1395 0.2161 0.3919 1
O4 O 0.2110 0.4622 0.4342 1
O5 O 0.2637 0.3358 0.8505 1
O6 O 0.3702 0.1363 0.8936 1
O7 O 0.3936 0.2344 0.6652 1
O8 O 0.4001 0.0729 0.4147 1
```

# 4
Diffraction record for AlSe2NO8. The X-ray powder pattern is simulated, not measured: it uses DFT lattice parameters and positions (PBE) and λ = 1.5418 Å (Cu Kα).
Lines closer than 0.1° are merged.

Largest 10 diffraction maxima, low angle first, 10° ≤ 2θ ≤ 80°:
d/Å	I_rel	(hkl)
4.465	8	0 0 2
3.939	100	0 1 1
3.130	30	0 1 2
2.977	9	0 0 3
2.534	22	1 1 0
2.131	8	0 2 1
1.990	10	1 0 4
1.631	14	1 2 1
1.555	7	1 2 2
1.460	9	1 1 5

Cell and atoms:
```
data_AlSe2NO8
_chemical_formula_sum 'Al1 Se2 N1 O8'
_space_group_name_H-M_alt 'P 3 2 1'
_space_group_IT_number 150
_cell_length_a 5.0674
_cell_length_b 5.0674
_cell_length_c 8.9298
_cell_angle_alpha 90.00
_cell_angle_beta 90.00
_cell_angle_gamma 120.00
loop_
_space_group_symop_operation_xyz
'x,y,z'
'-y,x-y,z'
'-x+y,-x,z'
'y,x,-z'
'x-y,-y,-z'
'-x,-x+y,-z'
loop_
_atom_site_label
_atom_site_type_symbol
_atom_site_fract_x
_atom_site_fract_y
_atom_site_fract_z
_atom_site_occupancy
Al1 Al 0.0000 0.0000 0.0000 1
Se1 Se 0.3333 0.6667 0.2014 1
N1 N 0.0000 0.0000 0.5000 1
O1 O 0.0730 0.3233 0.1351 1
O2 O 0.3333 0.6667 0.3844 1
```

# 5
Diffraction record for Ba3Sm. The X-ray powder pattern is simulated, not measured: it uses DFT lattice parameters and positions (PBE) and λ = 1.5418 Å (Cu Kα).
Lines closer than 0.1° are merged.

Largest 10 diffraction maxima, low angle first, 10° ≤ 2θ ≤ 80°:
d/Å	I_rel	(hkl)
3.675	23	2 0 0
3.374	25	0 0 2
3.227	100	2 0 1
2.485	16	2 0 2
2.122	20	2 2 0
1.919	23	2 0 3
1.796	24	2 2 2
1.773	17	4 0 1
1.360	14	4 2 1
1.320	9	2 2 4

Cell and atoms:
```
data_Ba3Sm
_chemical_formula_sum 'Ba6 Sm2'
_space_group_name_H-M_alt 'P 63/m m c'
_space_group_IT_number 194
_space_group_name_Hall '-P 6c 2c'
_cell_length_a 8.4861
_cell_length_b 8.4861
_cell_length_c 6.7485
_cell_angle_alpha 90.00
_cell_angle_beta 90.00
_cell_angle_gamma 120.00
loop_
_atom_site_label
_atom_site_type_symbol
_atom_site_fract_x
_atom_site_fract_y
_atom_site_fract_z
_atom_site_occupancy
Ba1 Ba 0.1726 0.3452 0.2500 1
Sm1 Sm 0.3333 0.6667 0.7500 1
```

# 6
Diffraction record for B2O3. The X-ray powder pattern is simulated, not measured: it uses DFT lattice parameters and positions (PBE) and λ = 1.5418 Å (Cu Kα).
Lines closer than 0.1° are merged.

Largest 10 diffraction maxima, low angle first, 10° ≤ 2θ ≤ 80°:
d/Å	I_rel	(hkl)
3.499	59	0 1 1
2.938	8	0 0 3
2.884	100	0 1 2
2.327	33	0 1 3
2.136	36	1 1 1
1.969	9	1 1 2
1.750	10	2 0 2
1.600	11	0 1 5
1.442	11	0 2 4
1.422	6	1 2 1

Cell and atoms:
```
data_B2O3
_chemical_formula_sum 'B6 O9'
_space_group_name_H-M_alt 'P 31 2 1'
_space_group_IT_number 152
_cell_length_a 4.4026
_cell_length_b 4.4026
_cell_length_c 8.8153
_cell_angle_alpha 90.00
_cell_angle_beta 90.00
_cell_angle_gamma 120.00
loop_
_space_group_symop_operation_xyz
'x,y,z'
'-y,x-y,z+1/3'
'-x+y,-x,z+2/3'
'y,x,-z'
'x-y,-y,-z+2/3'
'-x,-x+y,-z+1/3'
loop_
_atom_site_label
_atom_site_type_symbol
_atom_site_fract_x
_atom_site_fract_y
_atom_site_fract_z
_atom_site_occupancy
B1 B 0.1849 0.4028 0.3908 1
O1 O 0.0000 0.8211 0.1667 1
O2 O 0.1246 0.5338 0.9624 1
```

# 7
Diffraction record for Al4C3. The X-ray powder pattern is simulated, not measured: it uses DFT lattice parameters and positions (PBE) and λ = 1.5418 Å (Cu Kα).
Lines closer than 0.1° are merged.

Largest 10 diffraction maxima, low angle first, 10° ≤ 2θ ≤ 80°:
d/Å	I_rel	(hkl)
2.637	25	0 1 1
2.449	55	1 0 -2
2.341	74	1 0 1
2.275	55	1 1 -1
2.265	100	1 -2 0
2.236	53	-2 1 1
2.196	30	0 1 -2
2.175	23	-1 1 2
1.622	22	2 -2 1
1.512	22	0 0 3

Cell and atoms:
```
data_Al4C3
_chemical_formula_sum 'Al4 C3'
_space_group_name_H-M_alt 'P 1'
_space_group_IT_number 1
_cell_length_a 4.4895
_cell_length_b 4.5308
_cell_length_c 5.0294
_cell_angle_alpha 90.76
_cell_angle_beta 111.75
_cell_angle_gamma 119.17
loop_
_space_group_symop_operation_xyz
'x,y,z'
loop_
_atom_site_label
_atom_site_type_symbol
_atom_site_fract_x
_atom_site_fract_y
_atom_site_fract_z
_atom_site_occupancy
Al1 Al 0.0000 0.0000 0.0000 1
Al2 Al 0.1045 0.5382 0.6530 1
Al3 Al 0.5482 0.7616 0.3316 1
Al4 Al 0.6848 0.3397 0.0204 1
C1 C 0.1184 0.0134 0.6472 1
C2 C 0.4003 0.3075 0.5692 1
C3 C 0.5295 0.2223 0.3572 1
```

# 8
Diffraction record for CeMgZr7O16. The X-ray powder pattern is simulated, not measured: it uses DFT lattice parameters and positions (PBE) and λ = 1.5418 Å (Cu Kα).
Lines closer than 0.1° are merged.

Largest 10 diffraction maxima, low angle first, 10° ≤ 2θ ≤ 80°:
d/Å	I_rel	(hkl)
3.170	100	2 2 -1
2.987	84	2 2 1
2.706	23	0 0 2
2.619	14	4 0 0
1.972	20	4 0 -2
1.898	33	0 4 2
1.868	33	4 4 0
1.803	17	4 0 2
1.666	16	2 2 -3
1.585	19	2 2 3

Cell and atoms:
```
data_CeMgZr7O16
_chemical_formula_sum 'Ce2 Mg2 Zr14 O32'
_space_group_name_H-M_alt 'C 1 2 1'
_space_group_IT_number 5
_cell_length_a 10.5184
_cell_length_b 10.6577
_cell_length_c 5.4331
_cell_angle_alpha 90.00
_cell_angle_beta 95.11
_cell_angle_gamma 90.00
loop_
_space_group_symop_operation_xyz
'x,y,z'
'-x,y,-z'
'x+1/2,y+1/2,z'
'-x+1/2,y+1/2,-z'
loop_
_atom_site_label
_atom_site_type_symbol
_atom_site_fract_x
_atom_site_fract_y
_atom_site_fract_z
_atom_site_occupancy
Ce1 Ce 0.0000 0.0000 0.0000 1
Mg1 Mg 0.0000 0.2594 0.0000 1
Zr1 Zr 0.0000 0.3079 0.5000 1
Zr2 Zr 0.0000 0.5364 0.0000 1
Zr3 Zr 0.0000 0.7798 0.5000 1
Zr4 Zr 0.2249 0.7700 0.0039 1
Zr5 Zr 0.2371 0.0507 0.5021 1
O1 O 0.1103 0.3858 0.8666 1
O2 O 0.1167 0.4290 0.3549 1
O3 O 0.1193 0.1620 0.7052 1
O4 O 0.1205 0.6414 0.7245 1
O5 O 0.1284 0.6530 0.2277 1
O6 O 0.1336 0.1701 0.2078 1
O7 O 0.1365 0.9005 0.7546 1
O8 O 0.1405 0.8986 0.2882 1
```

- Number 6 is which compound?
  B2O3

- What is the formula in the third record?
  PuB4ClO8